Entry 1:
HfAlPt: simulated powder diffraction line list (Cu Kα), based on a crystal structure in Alexandria, relaxed with GGA-PBE.

Atomic structure:
Cell: 7.1468 7.1468 3.5805 Å, 90.00 90.00 120.00°
Space group P-62m (No. 189)
Unique sites:
Hf  0.0000  0.3984  0.0000 [3 per cell]
Al  0.0000  0.7404  0.5000 [3 per cell]
Pt  0.0000  0.0000  0.0000 [1 per cell]
Pt  0.3333  0.6667  0.5000 [2 per cell]

Main lines, low angle first (10° ≤ 2θ ≤ 80°):
- d = 3.574 Å, 2θ 24.91, rel. 61, hkl 1 1 0
- d = 3.098 Å, 2θ 28.82, rel. 37, hkl 1 0 1
- d = 2.529 Å, 2θ 35.49, rel. 77, hkl 1 1 1
- d = 2.341 Å, 2θ 38.45, rel. 100, hkl 2 0 1
- d = 2.063 Å, 2θ 43.88, rel. 51, hkl 3 0 0
- d = 1.958 Å, 2θ 46.36, rel. 37, hkl 2 1 1
- d = 1.790 Å, 2θ 51.01, rel. 19, hkl 0 0 2
- d = 1.548 Å, 2θ 59.73, rel. 18, hkl 3 1 1
- d = 1.352 Å, 2θ 69.54, rel. 34, hkl 3 0 2
- d = 1.320 Å, 2θ 71.47, rel. 29, hkl 3 2 1

Entry 2:
KSb2Se4: simulated powder diffraction line list (Cu Kα), based on a crystal structure in Alexandria, relaxed with GGA-PBE.

Atomic structure:
Cell: 6.932 7.029 9.471 Å, 79.40 82.82 75.96°
Space group P-1 (No. 2)
Unique sites:
K  0.201  0.187  0.068 [2 per cell]
Sb  0.147  0.189  0.544 [2 per cell]
Sb  0.416  0.606  0.663 [2 per cell]
Se  0.084  0.480  0.727 [2 per cell]
Se  0.214  0.854  0.379 [2 per cell]
Se  0.304  0.936  0.773 [2 per cell]
Se  0.405  0.589  0.094 [2 per cell]

Main lines, low angle first (10° ≤ 2θ ≤ 80°):
- d = 5.227 Å, 2θ 16.96, rel. 43, hkl 1 0 -1
- d = 3.312 Å, 2θ 26.92, rel. 100, hkl 2 1 0
- d = 3.077 Å, 2θ 29.02, rel. 88, hkl 1 -1 2
- d = 2.958 Å, 2θ 30.22, rel. 93, hkl 0 2 2
- d = 2.653 Å, 2θ 33.78, rel. 21, hkl 0 1 -3
- d = 2.477 Å, 2θ 36.26, rel. 21, hkl 1 2 -2
- d = 2.369 Å, 2θ 37.99, rel. 31, hkl -2 1 2
- d = 2.300 Å, 2θ 39.16, rel. 29, hkl 1 1 4
- d = 2.082 Å, 2θ 43.46, rel. 24, hkl 3 0 2
- d = 1.997 Å, 2θ 45.41, rel. 25, hkl 1 -3 0

Entry 3:
SrPtSe4: simulated powder diffraction line list (Cu Kα), based on a crystal structure in Alexandria, relaxed with GGA-PBE.

Atomic structure:
Cell: 8.167 8.167 8.167 Å, 90.00 90.00 90.00°
Space group F-43m (No. 216)
Unique sites:
Sr  0.000  0.000  0.000 [4 per cell]
Pt  0.250  0.250  0.750 [4 per cell]
Se  0.123  0.123  0.377 [16 per cell]

Main lines, low angle first (10° ≤ 2θ ≤ 80°):
- d = 4.715 Å, 2θ 18.82, rel. 10, hkl 1 1 1
- d = 2.887 Å, 2θ 30.97, rel. 46, hkl 2 2 0
- d = 2.462 Å, 2θ 36.49, rel. 100, hkl 3 1 1
- d = 2.358 Å, 2θ 38.17, rel. 25, hkl 2 2 2
- d = 1.667 Å, 2θ 55.09, rel. 18, hkl 4 2 2
- d = 1.572 Å, 2θ 58.75, rel. 33, hkl 3 3 3
- d = 1.444 Å, 2θ 64.55, rel. 25, hkl 4 4 0
- d = 1.291 Å, 2θ 73.31, rel. 8, hkl 6 2 0
- d = 1.245 Å, 2θ 76.49, rel. 12, hkl 5 3 3
- d = 1.231 Å, 2θ 77.54, rel. 9, hkl 6 2 2